Record 1
Structure and simulated PXRD pattern of Mg14VNi (a structure optimized by DFT (GGA-PBE); CuKα).
Peak positions follow from Bragg's law for the DFT cell and can differ from measured ones.

The 12 most intense peaks (2θ = 5–70°), by angle:
d/Å, I_rel
5.393, 14
4.950, 3
3.647, 6
3.114, 3
2.696, 26
2.636, 3
2.475, 25
2.368, 100
1.885, 4
1.823, 15
1.557, 17
1.408, 17

```
16
Lattice="6.227 0.000 0.000 -3.114 5.393 0.000 0.000 0.000 9.901" Properties=species:S:1:pos:R:3 pbc="T T T"
Mg 0.000 0.000 2.438
Mg 0.000 0.000 7.463
Mg -1.479 2.742 2.542
Mg -1.479 2.742 7.359
Mg 1.546 0.893 4.950
Mg 1.576 0.910 0.000
Mg 1.479 2.742 2.542
Mg 1.479 2.742 7.359
Mg 0.000 5.303 2.542
Mg 0.000 5.303 7.359
Mg 4.652 0.910 0.000
Mg 3.114 3.574 0.000
Mg 4.681 0.893 4.950
Mg 3.114 3.608 4.950
V 0.000 3.595 0.000
Ni 0.000 3.595 4.950
```

Record 2
Structure and simulated PXRD pattern of KMg3AlSi3O10F2 (a structure optimized by DFT (GGA-PBE); CuKα).
Peak positions follow from Bragg's law for the DFT cell and can differ from measured ones.

The 12 most intense peaks (2θ = 5–70°), by angle:
d/Å, I_rel
10.213, 100
3.702, 45
3.444, 35
3.429, 29
3.404, 56
3.186, 60
2.955, 40
2.672, 31
2.642, 91
2.459, 36
2.199, 34
1.549, 56

```
20
Lattice="5.364 0.000 0.000 2.679 4.648 0.000 0.854 1.571 10.213" Properties=species:S:1:pos:R:3 pbc="T T T"
K 0.000 0.000 0.000
Mg 7.144 3.138 5.483
Mg 4.449 4.636 5.483
Mg 4.412 1.578 5.490
Al 3.540 3.117 8.225
Si 2.668 1.541 2.680
Si 6.219 4.666 8.267
Si 5.359 3.103 2.679
O 1.365 2.380 2.084
O 3.547 3.117 6.460
O 2.652 1.533 4.304
O 4.771 4.195 8.846
O 5.284 4.647 2.069
O 4.046 2.265 2.108
O 3.857 1.508 8.842
O 6.222 4.665 6.586
O 5.365 3.126 4.304
O 7.353 3.642 8.841
F 6.235 1.566 6.384
F 7.983 4.691 4.422
```

Record 3
Structure and simulated PXRD pattern of CsSi3O7 (a structure optimized by DFT (GGA-PBE); CuKα).
Peak positions follow from Bragg's law for the DFT cell and can differ from measured ones.

The 12 most intense peaks (2θ = 5–70°), by angle:
d/Å, I_rel
4.918, 34
3.634, 59
3.513, 33
3.458, 73
3.438, 27
3.402, 23
3.385, 93
3.215, 100
2.510, 21
2.497, 18
2.208, 26
1.939, 27

```
44
Lattice="5.020 0.000 0.000 0.000 10.532 0.000 0.000 0.000 13.752" Properties=species:S:1:pos:R:3 pbc="T T T"
Cs 0.224 0.972 3.466
Cs 2.287 9.561 10.342
Cs 2.734 4.294 10.287
Cs 4.797 6.238 3.411
Si 0.088 9.664 7.013
Si 0.111 6.858 8.384
Si 0.500 2.166 7.701
Si 2.010 8.366 0.825
Si 2.399 3.674 1.508
Si 2.422 0.868 0.136
Si 2.599 6.135 6.740
Si 2.621 8.940 5.369
Si 3.010 3.100 6.052
Si 4.521 7.432 12.928
Si 4.909 1.592 12.245
Si 4.932 4.398 13.616
O 0.149 2.832 9.140
O 0.256 8.482 8.124
O 0.474 0.522 7.750
O 0.486 7.918 0.400
O 0.546 6.447 9.880
O 1.056 6.079 7.270
O 1.071 9.361 5.740
O 1.439 1.171 12.616
O 1.454 4.454 0.394
O 1.964 4.086 3.004
O 2.024 2.614 7.276
O 2.036 10.011 0.874
O 2.254 2.050 1.248
O 2.361 7.701 2.264
O 2.659 2.434 4.612
O 2.767 7.316 5.628
O 2.984 4.744 6.003
O 2.996 7.880 13.352
O 3.056 9.352 3.872
O 3.567 9.720 6.482
O 3.581 6.438 8.012
O 3.950 4.095 1.136
O 3.964 0.812 13.359
O 4.474 1.181 10.748
O 4.534 2.652 6.476
O 4.546 5.788 12.879
O 4.764 3.216 12.504
O 4.872 8.098 11.488
```

Record 4
Structure and simulated PXRD pattern of Ba2NbCu2Pb2ClO8 (a structure optimized by DFT (GGA-PBE); CuKα).
Peak positions follow from Bragg's law for the DFT cell and can differ from measured ones.

The 12 most intense peaks (2θ = 5–70°), by angle:
d/Å, I_rel
4.011, 23
3.987, 10
3.890, 14
2.836, 58
2.828, 100
2.497, 19
2.311, 20
2.005, 31
1.636, 39
1.631, 12
1.563, 9
1.414, 8

```
16
Lattice="15.949 0.000 0.000 0.000 2.838 2.834 0.000 -2.838 2.834" Properties=species:S:1:pos:R:3 pbc="T T T"
Ba 2.407 0.000 0.000
Ba 13.541 0.000 0.000
Nb 0.000 0.000 2.758
Cu 4.432 0.000 2.829
Cu 11.517 0.000 2.829
Pb 6.076 0.000 5.662
Pb 9.873 0.000 5.662
Cl 7.974 0.000 2.828
O 0.000 -1.487 4.057
O 0.000 1.487 4.057
O 1.998 0.000 2.792
O 4.609 -1.420 4.243
O 4.609 1.420 4.243
O 11.340 -1.420 4.243
O 11.340 1.420 4.243
O 13.951 0.000 2.792
```

Record 5
Structure and simulated PXRD pattern of FeSb2 (a structure optimized by DFT (GGA-PBE); CuKα).
Peak positions follow from Bragg's law for the DFT cell and can differ from measured ones.

The 12 most intense peaks (2θ = 5–70°), by angle:
d/Å, I_rel
2.927, 17
2.890, 17
2.850, 38
2.839, 95
2.642, 22
2.611, 100
2.056, 46
1.847, 18
1.811, 40
1.805, 22
1.638, 16
1.419, 33

```
6
Lattice="5.779 0.000 0.000 0.000 6.520 0.000 0.000 0.000 3.276" Properties=species:S:1:pos:R:3 pbc="T T T"
Fe 0.000 0.000 0.000
Fe 2.890 3.260 1.638
Sb 1.135 2.316 0.000
Sb 1.754 5.575 1.638
Sb 4.025 0.944 1.638
Sb 4.644 4.204 0.000
```

Record 6
Structure and simulated PXRD pattern of PrAl2Ag (a structure optimized by DFT (GGA-PBE); CuKα).
Peak positions follow from Bragg's law for the DFT cell and can differ from measured ones.

The 12 most intense peaks (2θ = 5–70°), by angle:
d/Å, I_rel
4.482, 39
3.032, 11
2.850, 84
2.778, 24
2.405, 100
2.242, 15
2.191, 11
1.791, 11
1.645, 16
1.545, 24
1.517, 18
1.425, 17

```
12
Lattice="2.850 1.645 8.963 -2.850 1.645 8.963 0.000 -3.291 8.963" Properties=species:S:1:pos:R:3 pbc="T T T"
Pr 0.000 0.000 0.000
Pr 0.000 0.000 3.788
Pr 0.000 0.000 23.102
Al -1.447 -0.836 11.186
Al 0.000 -1.671 15.704
Al -1.447 0.836 15.704
Al 1.447 -0.836 11.186
Al 0.000 1.671 11.186
Al 1.447 0.836 15.704
Ag 0.000 0.000 9.007
Ag 0.000 0.000 13.445
Ag 0.000 0.000 17.883
```

Record 7
Structure and simulated PXRD pattern of K2CuSbCl6 (a structure optimized by DFT (GGA-PBE); CuKα).
Peak positions follow from Bragg's law for the DFT cell and can differ from measured ones.

The 12 most intense peaks (2θ = 5–70°), by angle:
d/Å, I_rel
5.177, 83
3.660, 86
2.989, 10
2.588, 100
2.315, 40
2.113, 38
1.830, 64
1.726, 20
1.637, 17
1.494, 21
1.436, 9
1.384, 18

```
10
Lattice="0.000 5.177 5.177 5.177 0.000 5.177 5.177 5.177 0.000" Properties=species:S:1:pos:R:3 pbc="T T T"
K 2.588 2.588 2.588
K 7.765 7.765 7.765
Cu 0.000 0.000 0.000
Sb 5.177 5.177 5.177
Cl 5.177 5.177 2.505
Cl 5.177 2.505 5.177
Cl 7.849 5.177 5.177
Cl 2.505 5.177 5.177
Cl 5.177 7.849 5.177
Cl 5.177 5.177 7.849
```

Record 8
Structure and simulated PXRD pattern of Lu2Be2GeO7 (a structure optimized by DFT (GGA-PBE); CuKα).
Peak positions follow from Bragg's law for the DFT cell and can differ from measured ones.

The 12 most intense peaks (2θ = 5–70°), by angle:
d/Å, I_rel
4.761, 42
3.510, 42
3.285, 53
2.908, 40
2.704, 100
2.323, 26
1.928, 43
1.713, 16
1.669, 14
1.663, 26
1.627, 24
1.429, 15

```
24
Lattice="7.346 0.000 0.000 0.000 7.346 0.000 0.000 0.000 4.761" Properties=species:S:1:pos:R:3 pbc="T T T"
Lu 1.160 2.513 0.030
Lu 2.513 6.186 4.731
Lu 4.833 1.160 4.731
Lu 6.186 4.833 0.030
Be 0.997 4.670 2.632
Be 2.676 0.997 2.128
Be 4.670 6.349 2.128
Be 6.349 2.676 2.632
Ge 0.000 0.000 2.380
Ge 3.673 3.673 2.380
O 0.000 3.673 3.315
O 0.607 6.093 3.452
O 1.047 4.720 1.045
O 1.252 0.607 1.309
O 2.420 4.280 3.452
O 2.626 1.047 3.716
O 3.066 2.420 1.309
O 3.673 0.000 1.445
O 4.280 4.925 1.309
O 4.720 6.299 3.716
O 4.925 3.066 3.452
O 6.093 6.739 1.309
O 6.299 2.626 1.045
O 6.739 1.252 3.452
```